The following is a computed X-ray powder pattern of NaZrHg3Te4. It was derived from the PBE geometry in OQMD, using a wavelength of 1.5418 Å.
Peak positions follow from Bragg's law for the DFT cell and can differ from measured ones.

Structural model:
```
data_NaZrHg3Te4
_chemical_formula_sum 'Na1 Zr1 Hg3 Te4'
_cell_length_a 7.2474
_cell_length_b 7.2474
_cell_length_c 7.2474
_cell_angle_alpha 90.00
_cell_angle_beta 90.00
_cell_angle_gamma 90.00
_symmetry_space_group_name_H-M 'P -4 3 m'
_symmetry_Int_Tables_number 215
_symmetry_space_group_name_Hall 'P -4 2 3'
loop_
_atom_site_label
_atom_site_fract_x
_atom_site_fract_y
_atom_site_fract_z
Na1 0.0000 0.0000 0.0000
Zr1 0.5000 0.5000 0.5000
Hg1 0.0000 0.5000 0.5000
Te1 0.2767 0.2767 0.2767
```

The 10 most intense peaks (2θ from 15° to 90°), by angle:
d = 4.184 Å, rel. 876, (1 1 1); d = 2.562 Å, rel. 1000, (2 2 0); d = 2.416 Å, rel. 152, (2 2 1); d = 2.185 Å, rel. 443, (3 1 1); d = 2.010 Å, rel. 179, (3 2 0); d = 1.812 Å, rel. 163, (4 0 0); d = 1.663 Å, rel. 165, (3 3 1); d = 1.479 Å, rel. 310, (4 2 2); d = 1.395 Å, rel. 121, (3 3 3); d = 1.225 Å, rel. 121, (5 3 1)

=====

The following is a computed X-ray powder pattern of Na4TlHg3. It was derived from the PBE geometry in OQMD, using a wavelength of 1.5418 Å.
Peak positions follow from Bragg's law for the DFT cell and can differ from measured ones.

Structural model:
```
data_Na4TlHg3
_chemical_formula_sum 'Na4 Tl1 Hg3'
_cell_length_a 5.1966
_cell_length_b 5.1966
_cell_length_c 7.3751
_cell_angle_alpha 90.00
_cell_angle_beta 90.00
_cell_angle_gamma 90.00
_symmetry_space_group_name_H-M 'P -4 m 2'
_symmetry_Int_Tables_number 115
loop_
_symmetry_equiv_pos_as_xyz
'x,y,z'
'y,-x,-z'
'-x,-y,z'
'-y,x,-z'
'-x,y,z'
'-y,-x,-z'
'x,-y,z'
'y,x,-z'
loop_
_atom_site_label
_atom_site_fract_x
_atom_site_fract_y
_atom_site_fract_z
Na1 0.0000 0.0000 0.0000
Na2 0.0000 0.5000 0.7417
Na3 0.5000 0.5000 0.5000
Tl1 0.5000 0.5000 0.0000
Hg1 0.0000 0.0000 0.5000
Hg2 0.0000 0.5000 0.2523
```

The 10 most intense peaks (2θ from 15° to 90°), by angle:
d = 4.248 Å, rel. 691, (1 0 1); d = 2.601 Å, rel. 1000, (2 0 0); d = 2.222 Å, rel. 132, (1 0 3); d = 2.217 Å, rel. 262, (2 1 1); d = 1.837 Å, rel. 120, (2 2 0); d = 1.688 Å, rel. 173, (3 0 1); d = 1.504 Å, rel. 125, (2 0 4); d = 1.501 Å, rel. 249, (3 1 2); d = 1.415 Å, rel. 99, (3 2 1); d = 1.162 Å, rel. 110, (4 2 0)

=====

The following is a computed X-ray powder pattern of Na4Tl2ZnHg. It was derived from the PBE geometry in OQMD, using a wavelength of 1.5418 Å.
Peak positions follow from Bragg's law for the DFT cell and can differ from measured ones.

Structural model:
```
data_Na4Tl2ZnHg
_chemical_formula_sum 'Na4 Tl2 Zn1 Hg1'
_cell_length_a 5.2142
_cell_length_b 5.2142
_cell_length_c 7.3977
_cell_angle_alpha 90.00
_cell_angle_beta 90.00
_cell_angle_gamma 90.00
_symmetry_space_group_name_H-M 'P -4 m 2'
_symmetry_Int_Tables_number 115
loop_
_symmetry_equiv_pos_as_xyz
'x,y,z'
'y,-x,-z'
'-x,-y,z'
'-y,x,-z'
'-x,y,z'
'-y,-x,-z'
'x,-y,z'
'y,x,-z'
loop_
_atom_site_label
_atom_site_fract_x
_atom_site_fract_y
_atom_site_fract_z
Na1 0.0000 0.0000 0.0000
Na2 0.0000 0.5000 0.2485
Na3 0.5000 0.5000 0.5000
Tl1 0.0000 0.5000 0.7618
Zn1 0.5000 0.5000 0.0000
Hg1 0.0000 0.0000 0.5000
```

The 10 most intense peaks (2θ from 15° to 90°), by angle:
d = 4.262 Å, rel. 665, (1 0 1); d = 2.610 Å, rel. 1000, (2 0 0); d = 2.226 Å, rel. 370, (2 1 1); d = 1.843 Å, rel. 121, (2 2 0); d = 1.693 Å, rel. 161, (3 0 1); d = 1.508 Å, rel. 119, (2 0 4); d = 1.506 Å, rel. 245, (3 1 2); d = 1.420 Å, rel. 92, (3 2 1); d = 1.247 Å, rel. 82, (4 1 1); d = 1.166 Å, rel. 107, (4 2 0)